Computed X-ray powder pattern
Compound: HoNi2O4
Radiation: copper Kα
Structure: the PBE+U geometry in Alexandria

Most intense lines, 15° ≤ 2θ ≤ 90°, most intense first:
- d 2.765, 32.4 deg, I = 100
- d 3.398, 26.2 deg, I = 50
- d 1.814, 50.3 deg, I = 45
- d 2.737, 32.7 deg, I = 41
- d 2.110, 42.9 deg, I = 39
- d 1.806, 50.6 deg, I = 32
- d 1.699, 54.0 deg, I = 22
- d 1.368, 68.6 deg, I = 20

Atomic structure:
```
data_HoNi2O4
_chemical_formula_sum 'Ho4 Ni8 O16'
_symmetry_space_group_name_H-M 'I 41/a m d'
_symmetry_Int_Tables_number 141
_cell_length_a 6.796
_cell_length_b 6.796
_cell_length_c 6.659
_cell_angle_alpha 90.00
_cell_angle_beta 90.00
_cell_angle_gamma 90.00
loop_
_symmetry_equiv_pos_as_xyz
'x,y,z'
'-x,-y,-z'
'-y+1/4,x+3/4,z+1/4'
'y+1/4,-x+3/4,-z+1/4'
'-x+1/2,-y,z+1/2'
'x+1/2,y,-z+1/2'
'y+1/4,-x+1/4,z+3/4'
'-y+1/4,x+1/4,-z+3/4'
'x,-y,-z'
'-x,y,z'
'-y+1/4,-x+1/4,-z+3/4'
'y+1/4,x+1/4,z+3/4'
'-x+1/2,y,-z+1/2'
'x+1/2,-y,z+1/2'
'y+1/4,x+3/4,-z+1/4'
'-y+1/4,-x+3/4,z+1/4'
'x+1/2,y+1/2,z+1/2'
'-x+1/2,-y+1/2,-z+1/2'
'-y+3/4,x+1/4,z+3/4'
'y+3/4,-x+1/4,-z+3/4'
'-x,-y+1/2,z'
'x,y+1/2,-z'
'y+3/4,-x+3/4,z+1/4'
'-y+3/4,x+3/4,-z+1/4'
'x+1/2,-y+1/2,-z+1/2'
'-x+1/2,y+1/2,z+1/2'
'-y+3/4,-x+3/4,-z+1/4'
'y+3/4,x+3/4,z+1/4'
'-x,y+1/2,-z'
'x,-y+1/2,z'
'y+3/4,x+1/4,-z+3/4'
'-y+3/4,-x+1/4,z+3/4'
loop_
_atom_site_label
_atom_site_fract_x
_atom_site_fract_y
_atom_site_fract_z
_atom_site_occupancy
Ho1 0.000 0.250 0.375 1
Ni1 0.000 0.000 0.000 1
O1 0.000 0.065 0.708 1
```